1.
# Dy12Ho5Tm
Computed X-ray diffraction stick pattern, λ = 1.5418 Å (Cu Kα). Input: a DFT-relaxed cell (GGA-PBE, Alexandria).

Peak list (10 most intense, 2θ from 15° to 90°, by angle)
- 2θ = 31.07°, I = 100
- 2θ = 36.03°, I = 51
- 2θ = 51.87°, I = 36
- 2θ = 61.67°, I = 21
- 2θ = 61.75°, I = 21
- 2θ = 64.78°, I = 12
- 2θ = 84.70°, I = 9
- 2θ = 84.81°, I = 9
- 2θ = 87.38°, I = 4
- 2θ = 87.51°, I = 8

```
data_Dy12Ho5Tm
_symmetry_space_group_name_H-M 'P 1'
_symmetry_Int_Tables_number 1
_cell_length_a 10.5700
_cell_length_b 4.9848
_cell_length_c 10.5838
_cell_angle_alpha 90.00
_cell_angle_beta 90.13
_cell_angle_gamma 90.00
loop_
_symmetry_equiv_pos_as_xyz
'x,y,z'
loop_
_atom_site_label
_atom_site_type_symbol
_atom_site_fract_x
_atom_site_fract_y
_atom_site_fract_z
Dy1 Dy 0.0003 0.0000 0.1672
Dy2 Dy 0.9997 0.0000 0.8328
Dy3 Dy 0.1660 0.5000 0.6661
Dy4 Dy 0.1667 0.5000 0.0001
Dy5 Dy 0.3328 0.0000 0.4997
Dy6 Dy 0.3333 0.0000 0.8334
Dy7 Dy 0.4999 0.5000 0.3333
Dy8 Dy 0.5001 0.5000 0.6667
Dy9 Dy 0.6667 0.0000 0.1666
Dy10 Dy 0.6672 0.0000 0.5003
Dy11 Dy 0.8333 0.5000 0.9999
Dy12 Dy 0.8340 0.5000 0.3339
Ho1 Ho 0.1664 0.5000 0.3336
Ho2 Ho 0.3333 0.0000 0.1667
Ho3 Ho 0.5000 0.5000 0.0000
Ho4 Ho 0.6667 0.0000 0.8333
Ho5 Ho 0.8336 0.5000 0.6664
Tm1 Tm 0.0000 0.0000 0.5000
```

---

2.
# Pr2TaS6
Computed X-ray diffraction stick pattern, λ = 1.5418 Å (Cu Kα). Input: a DFT-relaxed cell (GGA-PBE, Alexandria).

Peak list (10 most intense, 2θ from 15° to 90°, by angle)
- 2θ = 15.39°, I = 100
- 2θ = 17.82°, I = 73
- 2θ = 20.82°, I = 40
- 2θ = 25.70°, I = 47
- 2θ = 26.87°, I = 71
- 2θ = 27.80°, I = 77
- 2θ = 28.97°, I = 48
- 2θ = 32.57°, I = 63
- 2θ = 38.77°, I = 77
- 2θ = 40.32°, I = 56

```
data_Pr2TaS6
_symmetry_space_group_name_H-M 'P 1'
_symmetry_Int_Tables_number 1
_cell_length_a 6.1700
_cell_length_b 7.5214
_cell_length_c 10.6527
_cell_angle_alpha 90.00
_cell_angle_beta 122.89
_cell_angle_gamma 90.00
loop_
_symmetry_equiv_pos_as_xyz
'x,y,z'
loop_
_atom_site_label
_atom_site_type_symbol
_atom_site_fract_x
_atom_site_fract_y
_atom_site_fract_z
Pr1 Pr 0.2092 0.1124 0.2545
Pr2 Pr 0.2092 0.3876 0.7545
Pr3 Pr 0.7908 0.6124 0.2455
Pr4 Pr 0.7908 0.8876 0.7455
Ta1 Ta 0.5000 0.0000 0.0000
Ta2 Ta 0.5000 0.5000 0.5000
S1 S 0.1159 0.1633 0.9493
S2 S 0.1159 0.3367 0.4493
S3 S 0.2937 0.7055 0.9481
S4 S 0.2937 0.7945 0.4481
S5 S 0.3399 0.0254 0.7358
S6 S 0.3399 0.4746 0.2358
S7 S 0.6601 0.5254 0.7642
S8 S 0.6601 0.9746 0.2642
S9 S 0.7063 0.2055 0.5519
S10 S 0.7063 0.2945 0.0519
S11 S 0.8841 0.6633 0.5507
S12 S 0.8841 0.8367 0.0507
```

---

3.
# Rb4Ga2Ge5
Computed X-ray diffraction stick pattern, λ = 1.5418 Å (Cu Kα). Input: a DFT-relaxed cell (GGA-PBE, Alexandria).

Peak list (10 most intense, 2θ from 15° to 90°, by angle)
- 2θ = 28.70°, I = 59
- 2θ = 29.40°, I = 55
- 2θ = 30.15°, I = 100
- 2θ = 42.81°, I = 19
- 2θ = 45.90°, I = 16
- 2θ = 52.63°, I = 11
- 2θ = 53.24°, I = 19
- 2θ = 53.54°, I = 13
- 2θ = 54.66°, I = 11
- 2θ = 55.91°, I = 13

```
data_Rb4Ga2Ge5
_symmetry_space_group_name_H-M 'P 1'
_symmetry_Int_Tables_number 1
_cell_length_a 7.3122
_cell_length_b 5.9326
_cell_length_c 7.9129
_cell_angle_alpha 90.00
_cell_angle_beta 92.33
_cell_angle_gamma 90.00
loop_
_symmetry_equiv_pos_as_xyz
'x,y,z'
loop_
_atom_site_label
_atom_site_type_symbol
_atom_site_fract_x
_atom_site_fract_y
_atom_site_fract_z
Rb1 Rb 0.2365 0.0000 0.1304
Rb2 Rb 0.2528 0.0000 0.6369
Rb3 Rb 0.7472 0.0000 0.3631
Rb4 Rb 0.7635 0.0000 0.8696
Ga1 Ga 0.4256 0.5000 0.3469
Ga2 Ga 0.5744 0.5000 0.6531
Ge1 Ge 0.0776 0.5000 0.3649
Ge2 Ge 0.1212 0.5000 0.8939
Ge3 Ge 0.5000 0.5000 0.0000
Ge4 Ge 0.8788 0.5000 0.1061
Ge5 Ge 0.9224 0.5000 0.6351
```

---

4.
# RbCo2Br
Computed X-ray diffraction stick pattern, λ = 1.5418 Å (Cu Kα). Input: a DFT-relaxed cell (GGA-PBE, Alexandria).

Peak list (10 most intense, 2θ from 15° to 90°, by angle)
- 2θ = 19.14°, I = 33
- 2θ = 23.74°, I = 23
- 2θ = 28.10°, I = 100
- 2θ = 37.47°, I = 23
- 2θ = 38.83°, I = 22
- 2θ = 40.10°, I = 66
- 2θ = 42.70°, I = 31
- 2θ = 58.07°, I = 49
- 2θ = 62.00°, I = 20
- 2θ = 69.39°, I = 15

```
data_RbCo2Br
_symmetry_space_group_name_H-M 'P 1'
_symmetry_Int_Tables_number 1
_cell_length_a 4.8003
_cell_length_b 4.8003
_cell_length_c 17.9955
_cell_angle_alpha 90.00
_cell_angle_beta 90.00
_cell_angle_gamma 90.00
loop_
_symmetry_equiv_pos_as_xyz
'x,y,z'
loop_
_atom_site_label
_atom_site_type_symbol
_atom_site_fract_x
_atom_site_fract_y
_atom_site_fract_z
Rb1 Rb 0.0000 0.2500 0.3750
Rb2 Rb 0.0000 0.7500 0.6250
Rb3 Rb 0.5000 0.2500 0.1250
Rb4 Rb 0.5000 0.7500 0.8750
Co1 Co 0.0000 0.0000 0.0000
Co2 Co 0.0000 0.5000 0.0000
Co3 Co 0.2500 0.2500 0.7500
Co4 Co 0.2500 0.7500 0.2500
Co5 Co 0.5000 0.0000 0.5000
Co6 Co 0.5000 0.5000 0.5000
Co7 Co 0.7500 0.2500 0.7500
Co8 Co 0.7500 0.7500 0.2500
Br1 Br 0.0000 0.2500 0.8750
Br2 Br 0.0000 0.7500 0.1250
Br3 Br 0.5000 0.2500 0.6250
Br4 Br 0.5000 0.7500 0.3750
```

---

5.
# Cs6Tb3I14
Computed X-ray diffraction stick pattern, λ = 1.5418 Å (Cu Kα). Input: a DFT-relaxed cell (GGA-PBE, Alexandria).

Peak list (10 most intense, 2θ from 15° to 90°, by angle)
- 2θ = 18.71°, I = 39
- 2θ = 22.64°, I = 95
- 2θ = 24.50°, I = 47
- 2θ = 24.94°, I = 100
- 2θ = 25.45°, I = 41
- 2θ = 26.50°, I = 53
- 2θ = 27.66°, I = 62
- 2θ = 29.02°, I = 66
- 2θ = 30.52°, I = 40
- 2θ = 40.62°, I = 48

```
data_Cs6Tb3I14
_symmetry_space_group_name_H-M 'P 1'
_symmetry_Int_Tables_number 1
_cell_length_a 14.0019
_cell_length_b 14.0019
_cell_length_c 7.6162
_cell_angle_alpha 90.00
_cell_angle_beta 90.00
_cell_angle_gamma 120.00
loop_
_symmetry_equiv_pos_as_xyz
'x,y,z'
loop_
_atom_site_label
_atom_site_type_symbol
_atom_site_fract_x
_atom_site_fract_y
_atom_site_fract_z
Cs1 Cs 0.0275 0.5679 0.0000
Cs2 Cs 0.3084 0.1025 0.4872
Cs3 Cs 0.4321 0.4596 0.0000
Cs4 Cs 0.5404 0.9725 0.0000
Cs5 Cs 0.7940 0.6916 0.4872
Cs6 Cs 0.8975 0.2060 0.4872
Tb1 Tb 0.0000 0.0000 0.9063
Tb2 Tb 0.3333 0.6667 0.4179
Tb3 Tb 0.6667 0.3333 0.7567
I1 I 0.0000 0.0000 0.2922
I2 I 0.0781 0.8541 0.7762
I3 I 0.1459 0.2240 0.7762
I4 I 0.1847 0.4430 0.2853
I5 I 0.2583 0.8153 0.2853
I6 I 0.3333 0.6667 0.8037
I7 I 0.4568 0.1964 0.9790
I8 I 0.5313 0.4074 0.5320
I9 I 0.5570 0.7417 0.2853
I10 I 0.5926 0.1239 0.5320
I11 I 0.7396 0.5432 0.9790
I12 I 0.7760 0.9219 0.7762
I13 I 0.8036 0.2604 0.9790
I14 I 0.8761 0.4687 0.5320
```

---

6.
# Pm10YHo4
Computed X-ray diffraction stick pattern, λ = 1.5418 Å (Cu Kα). Input: a DFT-relaxed cell (GGA-PBE, Alexandria).

Peak list (10 most intense, 2θ from 15° to 90°, by angle)
- 2θ = 26.11°, I = 30
- 2θ = 28.11°, I = 18
- 2θ = 28.35°, I = 84
- 2θ = 30.23°, I = 17
- 2θ = 31.79°, I = 100
- 2θ = 32.86°, I = 34
- 2θ = 40.53°, I = 26
- 2θ = 41.07°, I = 24
- 2θ = 58.68°, I = 26
- 2θ = 68.90°, I = 15

```
data_Pm10YHo4
_symmetry_space_group_name_H-M 'P 1'
_symmetry_Int_Tables_number 1
_cell_length_a 8.9011
_cell_length_b 8.9011
_cell_length_c 8.9011
_cell_angle_alpha 112.01
_cell_angle_beta 112.01
_cell_angle_gamma 104.51
loop_
_symmetry_equiv_pos_as_xyz
'x,y,z'
loop_
_atom_site_label
_atom_site_type_symbol
_atom_site_fract_x
_atom_site_fract_y
_atom_site_fract_z
Pm1 Pm 0.0476 0.3937 0.1072
Pm2 Pm 0.0596 0.9524 0.3461
Pm3 Pm 0.2500 0.7500 0.5000
Pm4 Pm 0.2865 0.9404 0.8928
Pm5 Pm 0.3937 0.2865 0.3461
Pm6 Pm 0.6063 0.7135 0.6539
Pm7 Pm 0.7135 0.0596 0.1072
Pm8 Pm 0.7500 0.2500 0.5000
Pm9 Pm 0.9404 0.0476 0.6539
Pm10 Pm 0.9524 0.6063 0.8928
Y1 Y 0.0000 0.0000 0.0000
Ho1 Ho 0.2167 0.4422 0.6589
Ho2 Ho 0.4422 0.7833 0.2255
Ho3 Ho 0.5578 0.2167 0.7745
Ho4 Ho 0.7833 0.5578 0.3411
```

---

7.
# PrTm2ScP4
Computed X-ray diffraction stick pattern, λ = 1.5418 Å (Cu Kα). Input: a DFT-relaxed cell (GGA-PBE, Alexandria).

Peak list (10 most intense, 2θ from 15° to 90°, by angle)
- 2θ = 17.62°, I = 15
- 2θ = 27.48°, I = 100
- 2θ = 31.76°, I = 92
- 2θ = 31.99°, I = 45
- 2θ = 45.52°, I = 33
- 2θ = 45.70°, I = 65
- 2θ = 54.00°, I = 32
- 2θ = 54.30°, I = 16
- 2θ = 56.72°, I = 34
- 2θ = 84.28°, I = 22

```
data_PrTm2ScP4
_symmetry_space_group_name_H-M 'P 1'
_symmetry_Int_Tables_number 1
_cell_length_a 5.6358
_cell_length_b 5.6358
_cell_length_c 11.1919
_cell_angle_alpha 90.00
_cell_angle_beta 90.00
_cell_angle_gamma 90.00
loop_
_symmetry_equiv_pos_as_xyz
'x,y,z'
loop_
_atom_site_label
_atom_site_type_symbol
_atom_site_fract_x
_atom_site_fract_y
_atom_site_fract_z
Pr1 Pr 0.0000 0.0000 0.0000
Pr2 Pr 0.5000 0.5000 0.5000
Tm1 Tm 0.0000 0.5000 0.2500
Tm2 Tm 0.0000 0.5000 0.7500
Tm3 Tm 0.5000 0.0000 0.2500
Tm4 Tm 0.5000 0.0000 0.7500
Sc1 Sc 0.0000 0.0000 0.5000
Sc2 Sc 0.5000 0.5000 0.0000
P1 P 0.0000 0.0000 0.2607
P2 P 0.0000 0.0000 0.7393
P3 P 0.0000 0.5000 0.0000
P4 P 0.0000 0.5000 0.5000
P5 P 0.5000 0.0000 0.0000
P6 P 0.5000 0.0000 0.5000
P7 P 0.5000 0.5000 0.2393
P8 P 0.5000 0.5000 0.7607
```

---

8.
# Li2HoPt2
Computed X-ray diffraction stick pattern, λ = 1.5418 Å (Cu Kα). Input: a DFT-relaxed cell (GGA-PBE, Alexandria).

Peak list (10 most intense, 2θ from 15° to 90°, by angle)
- 2θ = 23.48°, I = 66
- 2θ = 23.77°, I = 36
- 2θ = 26.26°, I = 31
- 2θ = 34.75°, I = 83
- 2θ = 35.28°, I = 38
- 2θ = 39.57°, I = 51
- 2θ = 39.82°, I = 100
- 2θ = 40.10°, I = 39
- 2θ = 40.50°, I = 78
- 2θ = 57.60°, I = 27

```
data_Li2HoPt2
_symmetry_space_group_name_H-M 'P 1'
_symmetry_Int_Tables_number 1
_cell_length_a 7.8267
_cell_length_b 4.5550
_cell_length_c 5.1892
_cell_angle_alpha 90.00
_cell_angle_beta 119.25
_cell_angle_gamma 90.00
loop_
_symmetry_equiv_pos_as_xyz
'x,y,z'
loop_
_atom_site_label
_atom_site_type_symbol
_atom_site_fract_x
_atom_site_fract_y
_atom_site_fract_z
Li1 Li 0.0854 0.0000 0.2494
Li2 Li 0.4146 0.5000 0.7506
Li3 Li 0.5854 0.5000 0.2494
Li4 Li 0.9146 0.0000 0.7506
Ho1 Ho 0.0000 0.5000 0.5000
Ho2 Ho 0.5000 0.0000 0.5000
Pt1 Pt 0.2190 0.5000 0.1514
Pt2 Pt 0.2810 0.0000 0.8486
Pt3 Pt 0.7190 0.0000 0.1514
Pt4 Pt 0.7810 0.5000 0.8486
```

---

9.
# MgSc2Zn2Pd5
Computed X-ray diffraction stick pattern, λ = 1.5418 Å (Cu Kα). Input: a DFT-relaxed cell (GGA-PBE, Alexandria).

Peak list (10 most intense, 2θ from 15° to 90°, by angle)
- 2θ = 21.05°, I = 34
- 2θ = 23.58°, I = 24
- 2θ = 38.46°, I = 100
- 2θ = 39.36°, I = 42
- 2θ = 42.01°, I = 62
- 2θ = 46.40°, I = 17
- 2θ = 48.24°, I = 28
- 2θ = 63.95°, I = 19
- 2θ = 66.46°, I = 16
- 2θ = 70.56°, I = 16

```
data_MgSc2Zn2Pd5
_symmetry_space_group_name_H-M 'P 1'
_symmetry_Int_Tables_number 1
_cell_length_a 9.4379
_cell_length_b 9.4379
_cell_length_c 3.7731
_cell_angle_alpha 90.00
_cell_angle_beta 90.00
_cell_angle_gamma 90.00
loop_
_symmetry_equiv_pos_as_xyz
'x,y,z'
loop_
_atom_site_label
_atom_site_type_symbol
_atom_site_fract_x
_atom_site_fract_y
_atom_site_fract_z
Mg1 Mg 0.0000 0.0000 0.0000
Mg2 Mg 0.5000 0.5000 0.0000
Sc1 Sc 0.1743 0.3257 0.0000
Sc2 Sc 0.3257 0.8257 0.0000
Sc3 Sc 0.6743 0.1743 0.0000
Sc4 Sc 0.8257 0.6743 0.0000
Zn1 Zn 0.1229 0.6229 0.0000
Zn2 Zn 0.3771 0.1229 0.0000
Zn3 Zn 0.6229 0.8771 0.0000
Zn4 Zn 0.8771 0.3771 0.0000
Pd1 Pd 0.0000 0.5000 0.5000
Pd2 Pd 0.0758 0.7982 0.5000
Pd3 Pd 0.2018 0.0758 0.5000
Pd4 Pd 0.2982 0.5758 0.5000
Pd5 Pd 0.4242 0.2982 0.5000
Pd6 Pd 0.5000 0.0000 0.5000
Pd7 Pd 0.5758 0.7018 0.5000
Pd8 Pd 0.7018 0.4242 0.5000
Pd9 Pd 0.7982 0.9242 0.5000
Pd10 Pd 0.9242 0.2018 0.5000
```

---

10.
# TbHoCd6
Computed X-ray diffraction stick pattern, λ = 1.5418 Å (Cu Kα). Input: a DFT-relaxed cell (GGA-PBE, Alexandria).

Peak list (10 most intense, 2θ from 15° to 90°, by angle)
- 2θ = 29.90°, I = 11
- 2θ = 32.88°, I = 19
- 2θ = 33.20°, I = 13
- 2θ = 35.21°, I = 100
- 2θ = 36.80°, I = 28
- 2θ = 37.82°, I = 20
- 2θ = 50.17°, I = 11
- 2θ = 56.87°, I = 8
- 2θ = 65.27°, I = 21
- 2θ = 69.69°, I = 9

```
data_TbHoCd6
_symmetry_space_group_name_H-M 'P 1'
_symmetry_Int_Tables_number 1
_cell_length_a 4.8840
_cell_length_b 7.1485
_cell_length_c 10.8953
_cell_angle_alpha 90.00
_cell_angle_beta 90.00
_cell_angle_gamma 90.00
loop_
_symmetry_equiv_pos_as_xyz
'x,y,z'
loop_
_atom_site_label
_atom_site_type_symbol
_atom_site_fract_x
_atom_site_fract_y
_atom_site_fract_z
Tb1 Tb 0.0000 0.0000 0.0000
Tb2 Tb 0.0000 0.5000 0.5000
Ho1 Ho 0.5000 0.0000 0.7289
Ho2 Ho 0.5000 0.5000 0.2289
Cd1 Cd 0.0000 0.0000 0.5394
Cd2 Cd 0.0000 0.2174 0.2700
Cd3 Cd 0.0000 0.2826 0.7700
Cd4 Cd 0.0000 0.5000 0.0394
Cd5 Cd 0.0000 0.7174 0.7700
Cd6 Cd 0.0000 0.7826 0.2700
Cd7 Cd 0.5000 0.0000 0.1907
Cd8 Cd 0.5000 0.2164 0.4587
Cd9 Cd 0.5000 0.2836 0.9587
Cd10 Cd 0.5000 0.5000 0.6907
Cd11 Cd 0.5000 0.7164 0.9587
Cd12 Cd 0.5000 0.7836 0.4587
```

---

11.
# LiSi3BiO8
Computed X-ray diffraction stick pattern, λ = 1.5418 Å (Cu Kα). Input: a DFT-relaxed cell (GGA-PBE, Alexandria).

Peak list (10 most intense, 2θ from 15° to 90°, by angle)
- 2θ = 19.12°, I = 100
- 2θ = 22.63°, I = 53
- 2θ = 23.69°, I = 42
- 2θ = 25.13°, I = 49
- 2θ = 25.58°, I = 89
- 2θ = 27.02°, I = 91
- 2θ = 27.56°, I = 57
- 2θ = 29.87°, I = 55
- 2θ = 39.23°, I = 55
- 2θ = 50.17°, I = 41

```
data_LiSi3BiO8
_symmetry_space_group_name_H-M 'P 1'
_symmetry_Int_Tables_number 1
_cell_length_a 7.7338
_cell_length_b 7.7338
_cell_length_c 13.3310
_cell_angle_alpha 94.16
_cell_angle_beta 94.16
_cell_angle_gamma 114.99
loop_
_symmetry_equiv_pos_as_xyz
'x,y,z'
loop_
_atom_site_label
_atom_site_type_symbol
_atom_site_fract_x
_atom_site_fract_y
_atom_site_fract_z
Li1 Li 0.0369 0.3804 0.1860
Li2 Li 0.3804 0.0369 0.6860
Li3 Li 0.6196 0.9631 0.3140
Li4 Li 0.9631 0.6196 0.8140
Si1 Si 0.0510 0.2833 0.4002
Si2 Si 0.1734 0.3573 0.8306
Si3 Si 0.2833 0.0510 0.9002
Si4 Si 0.3196 0.4017 0.6126
Si5 Si 0.3573 0.1734 0.3306
Si6 Si 0.4017 0.3196 0.1126
Si7 Si 0.5983 0.6804 0.8874
Si8 Si 0.6427 0.8266 0.6694
Si9 Si 0.6804 0.5983 0.3874
Si10 Si 0.7167 0.9490 0.0998
Si11 Si 0.8266 0.6427 0.1694
Si12 Si 0.9490 0.7167 0.5998
Bi1 Bi 0.2669 0.6947 0.0508
Bi2 Bi 0.3053 0.7331 0.4492
Bi3 Bi 0.6947 0.2669 0.5508
Bi4 Bi 0.7331 0.3053 0.9492
O1 O 0.0041 0.6019 0.1351
O2 O 0.1247 0.4744 0.3386
O3 O 0.1401 0.1422 0.8542
O4 O 0.1422 0.1401 0.3542
O5 O 0.1562 0.3697 0.5184
O6 O 0.1750 0.8238 0.9025
O7 O 0.1762 0.8250 0.5975
O8 O 0.2066 0.3848 0.7125
O9 O 0.2599 0.4235 0.1083
O10 O 0.3697 0.1562 0.0184
O11 O 0.3732 0.5239 0.8967
O12 O 0.3848 0.2066 0.2125
O13 O 0.3981 0.9959 0.3649
O14 O 0.4235 0.2599 0.6083
O15 O 0.4744 0.1247 0.8386
O16 O 0.4761 0.6268 0.6033
O17 O 0.5239 0.3732 0.3967
O18 O 0.5256 0.8753 0.1614
O19 O 0.5765 0.7401 0.3917
O20 O 0.6019 0.0041 0.6351
O21 O 0.6152 0.7934 0.7875
O22 O 0.6268 0.4761 0.1033
O23 O 0.6303 0.8438 0.9816
O24 O 0.7401 0.5765 0.8917
O25 O 0.7934 0.6152 0.2875
O26 O 0.8238 0.1750 0.4025
O27 O 0.8250 0.1762 0.0975
O28 O 0.8438 0.6303 0.4816
O29 O 0.8578 0.8599 0.6458
O30 O 0.8599 0.8578 0.1458
O31 O 0.8753 0.5256 0.6614
O32 O 0.9959 0.3981 0.8649
```

---

12.
# Ni7Sn2Sb
Computed X-ray diffraction stick pattern, λ = 1.5418 Å (Cu Kα). Input: a DFT-relaxed cell (GGA-PBE, Alexandria).

Peak list (10 most intense, 2θ from 15° to 90°, by angle)
- 2θ = 27.09°, I = 44
- 2θ = 42.57°, I = 100
- 2θ = 44.45°, I = 12
- 2θ = 49.51°, I = 32
- 2θ = 49.67°, I = 16
- 2θ = 57.34°, I = 12
- 2θ = 72.62°, I = 10
- 2θ = 72.75°, I = 19
- 2θ = 87.99°, I = 24
- 2θ = 88.24°, I = 12

```
data_Ni7Sn2Sb
_symmetry_space_group_name_H-M 'P 1'
_symmetry_Int_Tables_number 1
_cell_length_a 11.3161
_cell_length_b 11.3161
_cell_length_c 11.3161
_cell_angle_alpha 161.27
_cell_angle_beta 161.27
_cell_angle_gamma 26.60
loop_
_symmetry_equiv_pos_as_xyz
'x,y,z'
loop_
_atom_site_label
_atom_site_type_symbol
_atom_site_fract_x
_atom_site_fract_y
_atom_site_fract_z
Ni1 Ni 0.0000 0.0000 0.0000
Ni2 Ni 0.0838 0.5838 0.5000
Ni3 Ni 0.2500 0.7500 0.5000
Ni4 Ni 0.4162 0.9162 0.5000
Ni5 Ni 0.5838 0.0838 0.5000
Ni6 Ni 0.7500 0.2500 0.5000
Ni7 Ni 0.9162 0.4162 0.5000
Sn1 Sn 0.1674 0.1674 0.0000
Sn2 Sn 0.8326 0.8326 0.0000
Sb1 Sb 0.5000 0.5000 0.0000
```